1.
This entry pairs a crystal structure of Pu3Mn2Cu7 with its theoretical X-ray powder pattern. Radiation: CuKα. Structure: a DFT-relaxed cell (PBE, Alexandria).
Peak positions follow from Bragg's law for the DFT cell and can differ from measured ones.

Atomic structure:
Lattice parameters (Å, degrees): 9.076 9.076 9.076 32.51 32.51 32.51
Fractional positions:
Pu 0.000 0.000 0.000
Pu 0.145 0.145 0.145
Pu 0.855 0.855 0.855
Mn 0.332 0.332 0.332
Mn 0.668 0.668 0.668
Cu 0.083 0.582 0.582
Cu 0.418 0.418 0.917
Cu 0.418 0.917 0.418
Cu 0.500 0.500 0.500
Cu 0.582 0.083 0.582
Cu 0.582 0.582 0.083
Cu 0.917 0.418 0.418

Largest 6 diffraction maxima, by angle, 5 to 70 degrees two-theta:
two_theta  I/Imax
20.48  28
31.69  66
34.51  35
35.33  56
41.18  38
41.29  100

***

2.
This entry pairs a crystal structure of RbMnCu2Te4 with its theoretical X-ray powder pattern. Radiation: CuKα. Structure: a DFT-relaxed cell (PBE, Alexandria).
Peak positions follow from Bragg's law for the DFT cell and can differ from measured ones.

Atomic structure:
Lattice parameters (Å, degrees): 5.790 9.174 9.805 90.00 90.00 90.00
Fractional positions:
Rb 0.000 0.000 0.000
Rb 0.500 0.500 0.500
Mn 0.000 0.500 0.000
Mn 0.500 0.000 0.500
Cu 0.000 0.132 0.500
Cu 0.000 0.868 0.500
Cu 0.500 0.368 0.000
Cu 0.500 0.632 0.000
Te 0.212 0.353 0.813
Te 0.212 0.647 0.187
Te 0.288 0.147 0.313
Te 0.288 0.853 0.687
Te 0.712 0.147 0.687
Te 0.712 0.853 0.313
Te 0.788 0.353 0.187
Te 0.788 0.647 0.813

Largest 6 diffraction maxima, by angle, 5 to 70 degrees two-theta:
two_theta  I/Imax
13.22  41
25.72  56
26.40  100
36.03  38
41.19  28
51.70  21

***

3.
This entry pairs a crystal structure of MnCuRh with its theoretical X-ray powder pattern. Radiation: CuKα. Structure: a DFT-relaxed cell (PBE, Alexandria).
Peak positions follow from Bragg's law for the DFT cell and can differ from measured ones.

Atomic structure:
Lattice parameters (Å, degrees): 2.823 3.509 8.062 90.00 90.00 90.00
Fractional positions:
Mn 0.000 0.000 0.000
Mn 0.500 0.500 0.500
Cu 0.000 0.000 0.333
Cu 0.500 0.500 0.833
Rh 0.000 0.000 0.661
Rh 0.500 0.500 0.161

Largest 6 diffraction maxima, by angle, 5 to 70 degrees two-theta:
two_theta  I/Imax
27.73  11
41.04  100
42.36  91
46.66  68
52.14  24
66.21  11

***

4.
This entry pairs a crystal structure of MnCu23Rh6 with its theoretical X-ray powder pattern. Radiation: CuKα. Structure: a DFT-relaxed cell (PBE, Alexandria).
Peak positions follow from Bragg's law for the DFT cell and can differ from measured ones.

Atomic structure:
Lattice parameters (Å, degrees): 8.187 8.187 8.187 60.00 60.00 60.00
Fractional positions:
Mn 0.000 0.000 0.000
Cu 0.000 0.000 0.500
Cu 0.000 0.500 0.000
Cu 0.000 0.500 0.500
Cu 0.122 0.626 0.626
Cu 0.144 0.144 0.144
Cu 0.144 0.144 0.569
Cu 0.144 0.569 0.144
Cu 0.374 0.374 0.374
Cu 0.374 0.374 0.878
Cu 0.374 0.878 0.374
Cu 0.431 0.856 0.856
Cu 0.500 0.000 0.000
Cu 0.500 0.000 0.500
Cu 0.500 0.500 0.000
Cu 0.500 0.500 0.500
Cu 0.569 0.144 0.144
Cu 0.626 0.122 0.626
Cu 0.626 0.626 0.122
Cu 0.626 0.626 0.626
Cu 0.856 0.431 0.856
Cu 0.856 0.856 0.431
Cu 0.856 0.856 0.856
Cu 0.878 0.374 0.374
Rh 0.238 0.238 0.762
Rh 0.238 0.762 0.238
Rh 0.238 0.762 0.762
Rh 0.762 0.238 0.238
Rh 0.762 0.238 0.762
Rh 0.762 0.762 0.238

Largest 6 diffraction maxima, by angle, 5 to 70 degrees two-theta:
two_theta  I/Imax
21.71  5
34.65  9
38.08  4
40.48  6
44.25  100
64.37  13

***

5.
This entry pairs a crystal structure of Mn3CuRh with its theoretical X-ray powder pattern. Radiation: CuKα. Structure: a DFT-relaxed cell (PBE, Alexandria).
Peak positions follow from Bragg's law for the DFT cell and can differ from measured ones.

Atomic structure:
Lattice parameters (Å, degrees): 4.768 4.768 4.768 90.00 90.00 90.00
Fractional positions:
Mn 0.000 0.000 0.500
Mn 0.000 0.500 0.000
Mn 0.500 0.000 0.000
Cu 0.500 0.500 0.500
Rh 0.000 0.000 0.000

Largest 6 diffraction maxima, by angle, 5 to 70 degrees two-theta:
two_theta  I/Imax
18.61  47
26.44  62
32.53  30
37.74  100
46.67  26
54.43  65

***

6.
This entry pairs a crystal structure of MnCu2S2 with its theoretical X-ray powder pattern. Radiation: CuKα. Structure: a DFT-relaxed cell (PBE, Alexandria).
Peak positions follow from Bragg's law for the DFT cell and can differ from measured ones.

Atomic structure:
Lattice parameters (Å, degrees): 7.745 7.745 7.745 60.00 60.00 60.00
Fractional positions:
Mn 0.384 0.384 0.384
Mn 0.384 0.384 0.849
Mn 0.384 0.849 0.384
Mn 0.849 0.384 0.384
Cu 0.000 0.000 0.000
Cu 0.509 0.509 0.991
Cu 0.509 0.991 0.509
Cu 0.509 0.991 0.991
Cu 0.750 0.750 0.750
Cu 0.991 0.509 0.509
Cu 0.991 0.509 0.991
Cu 0.991 0.991 0.509
S 0.125 0.125 0.125
S 0.125 0.125 0.625
S 0.125 0.625 0.125
S 0.138 0.621 0.621
S 0.621 0.138 0.621
S 0.621 0.621 0.138
S 0.621 0.621 0.621
S 0.625 0.125 0.125

Largest 6 diffraction maxima, by angle, 5 to 70 degrees two-theta:
two_theta  I/Imax
27.00  37
28.22  48
42.90  19
46.92  100
55.66  19
68.53  14

***

7.
This entry pairs a crystal structure of MnCuWS2 with its theoretical X-ray powder pattern. Radiation: CuKα. Structure: a DFT-relaxed cell (PBE, Alexandria).
Peak positions follow from Bragg's law for the DFT cell and can differ from measured ones.

Atomic structure:
Lattice parameters (Å, degrees): 4.230 4.230 4.762 90.00 90.00 90.00
Fractional positions:
Mn 0.000 0.000 0.000
Cu 0.500 0.500 0.500
W 0.000 0.000 0.500
S 0.000 0.500 0.000
S 0.500 0.000 0.000

Largest 6 diffraction maxima, by angle, 5 to 70 degrees two-theta:
two_theta  I/Imax
21.00  78
29.87  67
35.44  100
37.78  43
42.75  60
58.35  46

***

8.
This entry pairs a crystal structure of Sc5MnCu4 with its theoretical X-ray powder pattern. Radiation: CuKα. Structure: a DFT-relaxed cell (PBE, Alexandria).
Peak positions follow from Bragg's law for the DFT cell and can differ from measured ones.

Atomic structure:
Lattice parameters (Å, degrees): 3.238 3.238 16.567 90.00 90.00 90.00
Fractional positions:
Sc 0.000 0.000 0.000
Sc 0.000 0.000 0.199
Sc 0.000 0.000 0.399
Sc 0.000 0.000 0.601
Sc 0.000 0.000 0.801
Mn 0.500 0.500 0.500
Cu 0.500 0.500 0.099
Cu 0.500 0.500 0.298
Cu 0.500 0.500 0.702
Cu 0.500 0.500 0.901

Largest 6 diffraction maxima, by angle, 5 to 70 degrees two-theta:
two_theta  I/Imax
26.91  2
27.55  5
38.89  100
39.35  48
55.46  8
56.87  15

***

9.
This entry pairs a crystal structure of MnCu2Se2 with its theoretical X-ray powder pattern. Radiation: CuKα. Structure: a DFT-relaxed cell (PBE, Alexandria).
Peak positions follow from Bragg's law for the DFT cell and can differ from measured ones.

Atomic structure:
Lattice parameters (Å, degrees): 8.080 8.080 8.080 60.00 60.00 60.00
Fractional positions:
Mn 0.377 0.377 0.377
Mn 0.377 0.377 0.868
Mn 0.377 0.868 0.377
Mn 0.868 0.377 0.377
Cu 0.000 0.000 0.000
Cu 0.510 0.510 0.990
Cu 0.510 0.990 0.510
Cu 0.510 0.990 0.990
Cu 0.750 0.750 0.750
Cu 0.990 0.510 0.510
Cu 0.990 0.510 0.990
Cu 0.990 0.990 0.510
Se 0.124 0.124 0.124
Se 0.124 0.124 0.627
Se 0.124 0.627 0.124
Se 0.143 0.619 0.619
Se 0.619 0.143 0.619
Se 0.619 0.619 0.143
Se 0.619 0.619 0.619
Se 0.627 0.124 0.124

Largest 6 diffraction maxima, by angle, 5 to 70 degrees two-theta:
two_theta  I/Imax
25.86  19
27.03  47
41.04  12
44.87  100
53.17  20
65.33  15

***

10.
This entry pairs a crystal structure of MnCu2Se with its theoretical X-ray powder pattern. Radiation: CuKα. Structure: a DFT-relaxed cell (PBE, Alexandria).
Peak positions follow from Bragg's law for the DFT cell and can differ from measured ones.

Atomic structure:
Lattice parameters (Å, degrees): 3.399 3.413 5.098 90.00 90.15 90.00
Fractional positions:
Mn 0.000 0.000 0.000
Cu 0.499 0.500 0.759
Cu 0.501 0.500 0.241
Se 0.000 0.000 0.500

Largest 6 diffraction maxima, by angle, 5 to 70 degrees two-theta:
two_theta  I/Imax
31.56  3
37.34  100
44.36  90
44.49  30
53.71  17
53.96  17

***

11.
This entry pairs a crystal structure of Mn2Cu2Se5 with its theoretical X-ray powder pattern. Radiation: CuKα. Structure: a DFT-relaxed cell (PBE, Alexandria).
Peak positions follow from Bragg's law for the DFT cell and can differ from measured ones.

Atomic structure:
Lattice parameters (Å, degrees): 13.849 13.849 13.849 16.75 16.75 16.75
Fractional positions:
Mn 0.000 0.000 0.000
Mn 0.165 0.165 0.165
Cu 0.422 0.422 0.422
Cu 0.578 0.578 0.578
Se 0.106 0.106 0.106
Se 0.229 0.229 0.229
Se 0.364 0.364 0.364
Se 0.505 0.505 0.505
Se 0.636 0.636 0.636

Largest 6 diffraction maxima, by angle, 5 to 70 degrees two-theta:
two_theta  I/Imax
25.59  59
25.87  38
30.99  38
40.21  39
44.93  100
56.74  45

***

12.
This entry pairs a crystal structure of Mn2Tl2CuSe6 with its theoretical X-ray powder pattern. Radiation: CuKα. Structure: a DFT-relaxed cell (PBE, Alexandria).
Peak positions follow from Bragg's law for the DFT cell and can differ from measured ones.

Atomic structure:
Lattice parameters (Å, degrees): 6.466 6.466 7.786 97.80 97.80 120.72
Fractional positions:
Mn 0.171 0.829 0.000
Mn 0.829 0.171 0.000
Tl 0.340 0.660 0.500
Tl 0.660 0.340 0.500
Cu 0.500 0.500 0.000
Se 0.093 0.439 0.816
Se 0.218 0.218 0.169
Se 0.439 0.093 0.816
Se 0.561 0.907 0.184
Se 0.782 0.782 0.831
Se 0.907 0.561 0.184

Largest 6 diffraction maxima, by angle, 5 to 70 degrees two-theta:
two_theta  I/Imax
16.43  23
31.95  100
32.21  55
34.15  34
42.65  26
49.18  34